For Ti5Co3, a crystal structure in Alexandria, relaxed with PBE gives the simulated powder diffraction line list in this record (λ = 1.5418 Å (Cu Kα)).
Peak positions follow from Bragg's law for the DFT cell and can differ from measured ones.

Peak list (12 most intense, 15° ≤ 2θ ≤ 90°, by angle)
2theta  Rel. int.
21.35  2
30.70  1
41.80  100
42.70  50
47.40  1
48.22  1
53.63  3
59.20  7
61.97  15
75.70  12
77.56  27
86.40  1

Atomic structure:
```
data_Ti5Co3
_chemical_formula_sum 'Ti5 Co3'
_space_group_name_H-M_alt 'P 1'
_space_group_IT_number 1
_space_group_name_Hall 'P 1'
_cell_length_a 2.995
_cell_length_b 2.995
_cell_length_c 12.485
_cell_angle_alpha 90.00
_cell_angle_beta 90.00
_cell_angle_gamma 90.00
loop_
_atom_site_label
_atom_site_fract_x
_atom_site_fract_y
_atom_site_fract_z
Ti1 0.000 0.000 0.000
Ti2 0.000 0.000 0.236
Ti3 0.000 0.000 0.764
Ti4 0.500 0.500 0.381
Ti5 0.500 0.500 0.619
Co1 0.000 0.000 0.500
Co2 0.500 0.500 0.113
Co3 0.500 0.500 0.887
```

For Tl2AgPbBr6, a crystal structure in Alexandria, relaxed with PBE gives the simulated powder diffraction line list in this record (λ = 1.5418 Å (Cu Kα)).
Peak positions follow from Bragg's law for the DFT cell and can differ from measured ones.

Peak list (12 most intense, 15° ≤ 2θ ≤ 90°, by angle)
2theta  Rel. int.
17.92  22
21.98  20
22.76  100
23.41  35
27.14  26
29.17  19
32.33  51
32.50  43
33.36  19
36.30  33
40.69  25
40.81  28

Atomic structure:
```
data_Tl2AgPbBr6
_chemical_formula_sum 'Tl4 Ag2 Pb2 Br12'
_space_group_name_H-M_alt 'P 1'
_space_group_IT_number 1
_space_group_name_Hall 'P 1'
_cell_length_a 7.602
_cell_length_b 8.086
_cell_length_c 13.363
_cell_angle_alpha 90.00
_cell_angle_beta 124.44
_cell_angle_gamma 90.00
loop_
_atom_site_label
_atom_site_fract_x
_atom_site_fract_y
_atom_site_fract_z
Tl1 0.221 0.081 0.250
Tl2 0.221 0.419 0.750
Tl3 0.779 0.581 0.250
Tl4 0.779 0.919 0.750
Ag1 0.000 0.000 0.500
Ag2 0.000 0.500 0.000
Pb1 0.500 0.000 0.000
Pb2 0.500 0.500 0.500
Br1 0.140 0.204 0.952
Br2 0.140 0.296 0.452
Br3 0.258 0.693 0.956
Br4 0.258 0.807 0.456
Br5 0.337 0.018 0.742
Br6 0.337 0.482 0.242
Br7 0.663 0.518 0.758
Br8 0.663 0.982 0.258
Br9 0.742 0.193 0.544
Br10 0.742 0.307 0.044
Br11 0.860 0.704 0.548
Br12 0.860 0.796 0.048
```

For Sm2Cu3Ge4, a crystal structure in Alexandria, relaxed with PBE gives the simulated powder diffraction line list in this record (λ = 1.5418 Å (Cu Kα)).
Peak positions follow from Bragg's law for the DFT cell and can differ from measured ones.

Peak list (12 most intense, 15° ≤ 2θ ≤ 90°, by angle)
2theta  Rel. int.
28.98  17
33.66  37
35.54  56
35.87  92
37.81  52
38.00  33
39.49  100
51.68  18
54.55  17
58.52  22
61.56  24
77.64  16

Atomic structure:
```
data_Sm2Cu3Ge4
_chemical_formula_sum 'Sm4 Cu6 Ge8'
_space_group_name_H-M_alt 'P 1'
_space_group_IT_number 1
_space_group_name_Hall 'P 1'
_cell_length_a 8.016
_cell_length_b 8.016
_cell_length_c 7.529
_cell_angle_alpha 90.00
_cell_angle_beta 90.00
_cell_angle_gamma 138.00
loop_
_atom_site_label
_atom_site_fract_x
_atom_site_fract_y
_atom_site_fract_z
Sm1 0.112 0.888 0.907
Sm2 0.388 0.612 0.407
Sm3 0.612 0.388 0.593
Sm4 0.888 0.112 0.093
Cu1 0.000 0.000 0.500
Cu2 0.030 0.470 0.750
Cu3 0.470 0.030 0.250
Cu4 0.500 0.500 0.000
Cu5 0.530 0.970 0.750
Cu6 0.970 0.530 0.250
Ge1 0.182 0.818 0.525
Ge2 0.195 0.305 0.750
Ge3 0.305 0.195 0.250
Ge4 0.318 0.682 0.025
Ge5 0.682 0.318 0.975
Ge6 0.695 0.805 0.750
Ge7 0.805 0.695 0.250
Ge8 0.818 0.182 0.475
```

For Ni2Mo, a crystal structure in Alexandria, relaxed with PBE gives the simulated powder diffraction line list in this record (λ = 1.5418 Å (Cu Kα)).
Peak positions follow from Bragg's law for the DFT cell and can differ from measured ones.

Peak list (12 most intense, 15° ≤ 2θ ≤ 90°, by angle)
2theta  Rel. int.
16.16  1
24.41  3
31.64  2
35.28  1
37.61  1
42.50  100
49.28  32
49.87  15
72.25  10
72.73  19
87.58  23
88.49  11

Atomic structure:
```
data_Ni2Mo
_chemical_formula_sum 'Ni8 Mo4'
_space_group_name_H-M_alt 'P 1'
_space_group_IT_number 1
_space_group_name_Hall 'P 1'
_cell_length_a 11.278
_cell_length_b 11.278
_cell_length_c 11.278
_cell_angle_alpha 161.13
_cell_angle_beta 161.13
_cell_angle_gamma 26.82
loop_
_atom_site_label
_atom_site_fract_x
_atom_site_fract_y
_atom_site_fract_z
Ni1 0.125 0.375 0.750
Ni2 0.293 0.543 0.750
Ni3 0.375 0.125 0.250
Ni4 0.457 0.707 0.750
Ni5 0.543 0.293 0.250
Ni6 0.625 0.875 0.750
Ni7 0.707 0.457 0.250
Ni8 0.875 0.625 0.250
Mo1 0.041 0.791 0.250
Mo2 0.209 0.959 0.250
Mo3 0.791 0.041 0.750
Mo4 0.959 0.209 0.750
```

For NaZr2CuF11, a crystal structure in Alexandria, relaxed with PBE gives the simulated powder diffraction line list in this record (λ = 1.5418 Å (Cu Kα)).
Peak positions follow from Bragg's law for the DFT cell and can differ from measured ones.

Peak list (12 most intense, 15° ≤ 2θ ≤ 90°, by angle)
2theta  Rel. int.
15.87  38
17.89  28
18.15  53
18.29  26
22.13  100
25.01  68
26.11  40
27.10  59
44.10  25
45.14  34
45.98  19
51.31  20

Atomic structure:
```
data_NaZr2CuF11
_chemical_formula_sum 'Na1 Zr2 Cu1 F11'
_space_group_name_H-M_alt 'P 1'
_space_group_IT_number 1
_space_group_name_Hall 'P 1'
_cell_length_a 5.421
_cell_length_b 5.871
_cell_length_c 7.574
_cell_angle_alpha 95.58
_cell_angle_beta 106.89
_cell_angle_gamma 104.55
loop_
_atom_site_label
_atom_site_fract_x
_atom_site_fract_y
_atom_site_fract_z
Na1 0.000 0.000 0.000
Zr1 0.243 0.530 0.239
Zr2 0.757 0.470 0.761
Cu1 0.000 0.000 0.500
F1 0.023 0.718 0.346
F2 0.047 0.195 0.315
F3 0.145 0.680 0.989
F4 0.383 0.313 0.106
F5 0.462 0.163 0.691
F6 0.500 0.500 0.500
F7 0.538 0.837 0.309
F8 0.617 0.687 0.894
F9 0.855 0.320 0.011
F10 0.953 0.805 0.685
F11 0.977 0.282 0.654
```

For PaPb2S4, a crystal structure in Alexandria, relaxed with PBE gives the simulated powder diffraction line list in this record (λ = 1.5418 Å (Cu Kα)).
Peak positions follow from Bragg's law for the DFT cell and can differ from measured ones.

Peak list (12 most intense, 15° ≤ 2θ ≤ 90°, by angle)
2theta  Rel. int.
18.37  28
24.12  77
25.14  23
25.72  100
30.48  20
33.35  47
35.55  37
43.42  37
48.10  25
50.74  22
70.05  19
71.44  23

Atomic structure:
```
data_PaPb2S4
_chemical_formula_sum 'Pa2 Pb4 S8'
_space_group_name_H-M_alt 'P 1'
_space_group_IT_number 1
_space_group_name_Hall 'P 1'
_cell_length_a 7.374
_cell_length_b 12.787
_cell_length_c 4.121
_cell_angle_alpha 90.00
_cell_angle_beta 90.00
_cell_angle_gamma 90.00
loop_
_atom_site_label
_atom_site_fract_x
_atom_site_fract_y
_atom_site_fract_z
Pa1 0.000 0.000 0.000
Pa2 0.500 0.500 0.000
Pb1 0.116 0.330 0.500
Pb2 0.384 0.830 0.500
Pb3 0.616 0.170 0.500
Pb4 0.884 0.670 0.500
S1 0.121 0.799 0.000
S2 0.237 0.039 0.500
S3 0.263 0.539 0.500
S4 0.379 0.299 0.000
S5 0.621 0.701 0.000
S6 0.737 0.461 0.500
S7 0.763 0.961 0.500
S8 0.879 0.201 0.000
```

For CdReBO6, a crystal structure in Alexandria, relaxed with PBE gives the simulated powder diffraction line list in this record (λ = 1.5418 Å (Cu Kα)).
Peak positions follow from Bragg's law for the DFT cell and can differ from measured ones.

Peak list (12 most intense, 15° ≤ 2θ ≤ 90°, by angle)
2theta  Rel. int.
20.72  32
27.23  100
35.39  7
36.29  24
41.36  14
45.96  25
51.59  25
58.70  12
59.92  21
65.29  8
82.44  9
83.50  9

Atomic structure:
```
data_CdReBO6
_chemical_formula_sum 'Cd1 Re1 B1 O6'
_space_group_name_H-M_alt 'P 1'
_space_group_IT_number 1
_space_group_name_Hall 'P 1'
_cell_length_a 4.951
_cell_length_b 4.951
_cell_length_c 5.072
_cell_angle_alpha 90.00
_cell_angle_beta 90.00
_cell_angle_gamma 120.00
loop_
_atom_site_label
_atom_site_fract_x
_atom_site_fract_y
_atom_site_fract_z
Cd1 0.000 0.000 0.000
Re1 0.333 0.667 0.497
B1 0.667 0.333 0.225
O1 0.035 0.692 0.660
O2 0.308 0.343 0.660
O3 0.419 0.028 0.217
O4 0.609 0.581 0.217
O5 0.657 0.965 0.660
O6 0.972 0.391 0.217
```

For Mg14BiMo, a crystal structure in Alexandria, relaxed with PBE gives the simulated powder diffraction line list in this record (λ = 1.5418 Å (Cu Kα)).
Peak positions follow from Bragg's law for the DFT cell and can differ from measured ones.

Peak list (12 most intense, 15° ≤ 2θ ≤ 90°, by angle)
2theta  Rel. int.
16.12  73
17.39  20
23.80  56
28.11  19
32.57  33
33.25  25
35.20  24
37.16  100
47.23  21
48.71  21
64.45  18
69.81  19

Atomic structure:
```
data_Mg14BiMo
_chemical_formula_sum 'Mg14 Bi1 Mo1'
_space_group_name_H-M_alt 'P 1'
_space_group_IT_number 1
_space_group_name_Hall 'P 1'
_cell_length_a 6.348
_cell_length_b 6.348
_cell_length_c 10.198
_cell_angle_alpha 90.00
_cell_angle_beta 90.00
_cell_angle_gamma 120.00
loop_
_atom_site_label
_atom_site_fract_x
_atom_site_fract_y
_atom_site_fract_z
Mg1 0.000 0.000 0.247
Mg2 0.000 0.000 0.753
Mg3 0.008 0.504 0.264
Mg4 0.008 0.504 0.736
Mg5 0.330 0.165 0.500
Mg6 0.336 0.168 0.000
Mg7 0.496 0.504 0.264
Mg8 0.496 0.504 0.736
Mg9 0.496 0.992 0.264
Mg10 0.496 0.992 0.736
Mg11 0.832 0.168 0.000
Mg12 0.832 0.664 0.000
Mg13 0.835 0.165 0.500
Mg14 0.835 0.670 0.500
Bi1 0.333 0.667 0.000
Mo1 0.333 0.667 0.500
```

For NaLaZr2O6, a crystal structure in Alexandria, relaxed with PBE gives the simulated powder diffraction line list in this record (λ = 1.5418 Å (Cu Kα)).
Peak positions follow from Bragg's law for the DFT cell and can differ from measured ones.

Peak list (12 most intense, 15° ≤ 2θ ≤ 90°, by angle)
2theta  Rel. int.
18.58  17
18.76  20
30.40  21
30.78  100
36.27  11
43.85  26
44.30  11
54.25  17
54.68  11
54.79  19
54.95  9
64.10  12

Atomic structure:
```
data_NaLaZr2O6
_chemical_formula_sum 'Na1 La1 Zr2 O6'
_space_group_name_H-M_alt 'P 1'
_space_group_IT_number 1
_space_group_name_Hall 'P 1'
_cell_length_a 5.812
_cell_length_b 5.812
_cell_length_c 5.812
_cell_angle_alpha 119.22
_cell_angle_beta 90.56
_cell_angle_gamma 120.13
loop_
_atom_site_label
_atom_site_fract_x
_atom_site_fract_y
_atom_site_fract_z
Na1 0.000 0.000 0.000
La1 0.465 0.965 0.500
Zr1 0.238 0.485 0.752
Zr2 0.733 0.485 0.248
O1 0.055 0.508 0.067
O2 0.055 0.987 0.547
O3 0.440 0.508 0.453
O4 0.440 0.987 0.933
O5 0.581 0.581 0.000
O6 0.872 0.372 0.500
```

For InBi4Au4, a crystal structure in Alexandria, relaxed with PBE gives the simulated powder diffraction line list in this record (λ = 1.5418 Å (Cu Kα)).
Peak positions follow from Bragg's law for the DFT cell and can differ from measured ones.

Peak list (12 most intense, 15° ≤ 2θ ≤ 90°, by angle)
2theta  Rel. int.
15.17  43
28.96  100
29.88  60
34.97  64
36.51  27
38.31  21
39.03  54
46.64  53
50.28  26
51.45  45
71.00  18
73.37  16

Atomic structure:
```
data_InBi4Au4
_chemical_formula_sum 'In2 Bi8 Au8'
_space_group_name_H-M_alt 'P 1'
_space_group_IT_number 1
_space_group_name_Hall 'P 1'
_cell_length_a 7.258
_cell_length_b 7.258
_cell_length_c 9.844
_cell_angle_alpha 90.00
_cell_angle_beta 90.00
_cell_angle_gamma 90.00
loop_
_atom_site_label
_atom_site_fract_x
_atom_site_fract_y
_atom_site_fract_z
In1 0.250 0.750 0.250
In2 0.750 0.250 0.750
Bi1 0.004 0.250 0.107
Bi2 0.250 0.004 0.607
Bi3 0.250 0.496 0.607
Bi4 0.496 0.250 0.107
Bi5 0.504 0.750 0.893
Bi6 0.750 0.504 0.393
Bi7 0.750 0.996 0.393
Bi8 0.996 0.750 0.893
Au1 0.058 0.250 0.402
Au2 0.250 0.058 0.902
Au3 0.250 0.442 0.902
Au4 0.442 0.250 0.402
Au5 0.558 0.750 0.598
Au6 0.750 0.558 0.098
Au7 0.750 0.942 0.098
Au8 0.942 0.750 0.598
```

For Pu2BRh5, a crystal structure in Alexandria, relaxed with PBE gives the simulated powder diffraction line list in this record (λ = 1.5418 Å (Cu Kα)).
Peak positions follow from Bragg's law for the DFT cell and can differ from measured ones.

Peak list (12 most intense, 15° ≤ 2θ ≤ 90°, by angle)
2theta  Rel. int.
18.86  7
21.98  25
30.92  25
38.26  100
43.76  18
44.82  33
55.44  10
64.43  22
65.25  11
76.72  13
78.23  25
81.90  11

Atomic structure:
```
data_Pu2BRh5
_chemical_formula_sum 'Pu2 B1 Rh5'
_space_group_name_H-M_alt 'P 1'
_space_group_IT_number 1
_space_group_name_Hall 'P 1'
_cell_length_a 5.786
_cell_length_b 5.786
_cell_length_c 5.786
_cell_angle_alpha 120.75
_cell_angle_beta 120.75
_cell_angle_gamma 88.70
loop_
_atom_site_label
_atom_site_fract_x
_atom_site_fract_y
_atom_site_fract_z
Pu1 0.000 0.500 0.500
Pu2 0.500 0.000 0.500
B1 0.271 0.271 0.000
Rh1 0.000 0.000 0.000
Rh2 0.506 0.506 0.513
Rh3 0.506 0.993 0.000
Rh4 0.993 0.506 0.000
Rh5 0.993 0.993 0.487
```

For Li2Pm2HoSi2, a crystal structure in Alexandria, relaxed with PBE gives the simulated powder diffraction line list in this record (λ = 1.5418 Å (Cu Kα)).
Peak positions follow from Bragg's law for the DFT cell and can differ from measured ones.

Peak list (12 most intense, 15° ≤ 2θ ≤ 90°, by angle)
2theta  Rel. int.
23.53  100
28.49  17
32.32  56
34.65  70
40.98  50
47.79  15
50.66  22
53.13  14
54.72  19
65.25  14
69.21  12
70.57  18

Atomic structure:
```
data_Li2Pm2HoSi2
_chemical_formula_sum 'Li2 Pm2 Ho1 Si2'
_space_group_name_H-M_alt 'P 1'
_space_group_IT_number 1
_space_group_name_Hall 'P 1'
_cell_length_a 9.737
_cell_length_b 9.737
_cell_length_c 9.737
_cell_angle_alpha 26.15
_cell_angle_beta 26.15
_cell_angle_gamma 26.15
loop_
_atom_site_label
_atom_site_fract_x
_atom_site_fract_y
_atom_site_fract_z
Li1 0.111 0.111 0.111
Li2 0.889 0.889 0.889
Pm1 0.377 0.377 0.377
Pm2 0.623 0.623 0.623
Ho1 0.500 0.500 0.500
Si1 0.229 0.229 0.229
Si2 0.771 0.771 0.771
```

For KSn2Au2, a crystal structure in Alexandria, relaxed with PBE gives the simulated powder diffraction line list in this record (λ = 1.5418 Å (Cu Kα)).
Peak positions follow from Bragg's law for the DFT cell and can differ from measured ones.

Peak list (12 most intense, 15° ≤ 2θ ≤ 90°, by angle)
2theta  Rel. int.
15.81  99
19.57  24
29.94  36
30.06  100
36.22  86
39.74  43
41.24  92
52.15  31
55.75  30
61.37  31
68.56  43
79.85  22

Atomic structure:
```
data_KSn2Au2
_chemical_formula_sum 'K1 Sn2 Au2'
_space_group_name_H-M_alt 'P 1'
_space_group_IT_number 1
_space_group_name_Hall 'P 1'
_cell_length_a 6.611
_cell_length_b 6.611
_cell_length_c 6.611
_cell_angle_alpha 135.93
_cell_angle_beta 135.93
_cell_angle_gamma 64.08
loop_
_atom_site_label
_atom_site_fract_x
_atom_site_fract_y
_atom_site_fract_z
K1 0.000 0.000 0.000
Sn1 0.365 0.365 0.000
Sn2 0.635 0.635 0.000
Au1 0.250 0.750 0.500
Au2 0.750 0.250 0.500
```